Diffraction record for TmNb6Sn6. The powder diffraction line list is theoretical, not measured: it uses a structure optimized by DFT (PBE) and Cu Kα.
Kinematic intensities with the Lorentz-polarization factor, no thermal factor.

Main lines, in order of rising 2θ (2θ = 5–70°):
| d (Å) | 2theta | intensity |
| --- | --- | --- |
| 3.056 | 29.2 | 21 |
| 2.898 | 30.9 | 77 |
| 2.510 | 35.8 | 57 |
| 2.483 | 36.2 | 100 |
| 2.450 | 36.7 | 20 |
| 2.406 | 37.4 | 41 |
| 2.225 | 40.5 | 93 |
| 1.580 | 58.4 | 25 |
| 1.449 | 64.3 | 41 |
| 1.403 | 66.6 | 41 |

Cell and atoms:
```
data_TmNb6Sn6
_symmetry_space_group_name_H-M 'P 1'
_symmetry_Int_Tables_number 1
_symmetry_space_group_name_Hall 'P 1'
_cell_length_a 7.5337
_cell_length_b 7.5337
_cell_length_c 7.5337
_cell_angle_alpha 134.76
_cell_angle_beta 100.61
_cell_angle_gamma 96.42
loop_
_atom_site_label
_atom_site_fract_x
_atom_site_fract_y
_atom_site_fract_z
Tm1 0.0000 0.0000 0.0000
Nb1 0.0000 0.0000 0.5000
Nb2 0.0000 0.5000 0.0000
Nb3 0.2521 0.5000 0.7521
Nb4 0.5000 0.0000 0.0000
Nb5 0.5000 0.5000 0.5000
Nb6 0.7479 0.5000 0.2479
Sn1 0.1640 0.6640 0.5000
Sn2 0.3247 0.0000 0.3247
Sn3 0.3325 0.3325 0.0000
Sn4 0.6675 0.6675 0.0000
Sn5 0.6753 0.0000 0.6753
Sn6 0.8360 0.3360 0.5000
```